1.
For Pm2PrTm5, a crystal structure in Alexandria, relaxed with PBE gives the theoretical powder XRD pattern in this record (a wavelength of 1.5418 Å).

Largest 10 diffraction maxima, in order of rising 2θ, 2θ from 10° to 90°:
d = 3.066 Å, 29.12°, I = 31; d = 2.920 Å, 30.62°, I = 25; d = 2.904 Å, 30.79°, I = 9; d = 2.851 Å, 31.38°, I = 100; d = 2.795 Å, 32.02°, I = 23; d = 2.361 Å, 38.12°, I = 8; d = 2.140 Å, 42.23°, I = 10; d = 2.038 Å, 44.45°, I = 10; d = 1.955 Å, 46.46°, I = 7; d = 1.647 Å, 55.81°, I = 10

Structural model:
Cell: 9.5091 9.5091 6.4500 Å, 96.13 96.13 62.48°
Sites, in units of the cell vectors:
Pm 0.1707 0.6792 0.8893
Pm 0.3208 0.8293 0.6107
Pm 0.6792 0.1707 0.3893
Pm 0.8293 0.3208 0.1107
Pr 0.0000 0.5000 0.0000
Pr 0.5000 0.0000 0.5000
Tm 0.0099 0.1892 0.6414
Tm 0.1892 0.0099 0.1414
Tm 0.2156 0.3966 0.4813
Tm 0.3966 0.2156 0.9813
Tm 0.4438 0.5562 0.2500
Tm 0.5562 0.4438 0.7500
Tm 0.6034 0.7844 0.0187
Tm 0.7844 0.6034 0.5187
Tm 0.8108 0.9901 0.8586
Tm 0.9901 0.8108 0.3586



2.
For TaI2Br, a crystal structure in Alexandria, relaxed with PBE gives the theoretical powder XRD pattern in this record (a wavelength of 1.5418 Å).

Largest 10 diffraction maxima, in order of rising 2θ, 2θ from 10° to 90°:
d = 7.531 Å, 11.75°, I = 100; d = 5.931 Å, 14.94°, I = 15; d = 5.691 Å, 15.57°, I = 17; d = 5.134 Å, 17.27°, I = 12; d = 3.013 Å, 29.65°, I = 45; d = 2.802 Å, 31.94°, I = 33; d = 2.785 Å, 32.14°, I = 31; d = 2.410 Å, 37.31°, I = 13; d = 2.158 Å, 41.85°, I = 28; d = 1.947 Å, 46.65°, I = 13

Structural model:
Cell: 6.4602 6.5614 7.8101 Å, 81.90 74.76 64.75°
Sites, in units of the cell vectors:
Ta 0.0000 0.0000 0.0000
Ta 0.2542 0.2430 0.9982
I 0.0424 0.2978 0.7212
I 0.3532 0.6343 0.8004
I 0.5655 0.2722 0.2118
I 0.9047 0.6093 0.2011
Br 0.2155 0.9493 0.2455
Br 0.6733 0.9791 0.8242



3.
For TiCuBi, a crystal structure in Alexandria, relaxed with PBE gives the theoretical powder XRD pattern in this record (a wavelength of 1.5418 Å).

Largest 10 diffraction maxima, in order of rising 2θ, 2θ from 10° to 90°:
d = 4.044 Å, 21.98°, I = 72; d = 3.268 Å, 27.29°, I = 26; d = 2.636 Å, 34.01°, I = 91; d = 2.542 Å, 35.31°, I = 100; d = 2.228 Å, 40.49°, I = 49; d = 2.189 Å, 41.24°, I = 34; d = 2.083 Å, 43.44°, I = 23; d = 1.964 Å, 46.21°, I = 24; d = 1.619 Å, 56.85°, I = 23; d = 1.343 Å, 70.05°, I = 29

Structural model:
Cell: 4.9160 7.1101 6.5366 Å, 90.00 90.00 90.00°
Sites, in units of the cell vectors:
Ti 0.2500 0.1468 0.0000
Ti 0.2500 0.3532 0.5000
Ti 0.7500 0.6468 0.5000
Ti 0.7500 0.8532 0.0000
Cu 0.0000 0.0000 0.6607
Cu 0.0000 0.5000 0.1607
Cu 0.5000 0.0000 0.6607
Cu 0.5000 0.5000 0.1607
Bi 0.2500 0.6713 0.8051
Bi 0.2500 0.8287 0.3051
Bi 0.7500 0.1713 0.3051
Bi 0.7500 0.3287 0.8051



4.
For BSbRh4, a crystal structure in Alexandria, relaxed with PBE gives the theoretical powder XRD pattern in this record (a wavelength of 1.5418 Å).

Largest 10 diffraction maxima, in order of rising 2θ, 2θ from 10° to 90°:
d = 3.137 Å, 28.45°, I = 18; d = 2.938 Å, 30.43°, I = 21; d = 2.775 Å, 32.26°, I = 47; d = 2.389 Å, 37.66°, I = 63; d = 2.168 Å, 41.67°, I = 100; d = 2.108 Å, 42.90°, I = 16; d = 2.090 Å, 43.29°, I = 28; d = 1.959 Å, 46.36°, I = 22; d = 1.894 Å, 48.03°, I = 40; d = 1.855 Å, 49.11°, I = 38

Structural model:
Cell: 4.2680 3.7106 5.9993 Å, 90.00 101.64 90.00°
Sites, in units of the cell vectors:
B 0.0000 0.0000 0.0000
Sb 0.4963 0.5000 0.5019
Rh 0.0617 0.5000 0.7918
Rh 0.4382 0.0000 0.2060
Rh 0.5581 0.0000 0.7989
Rh 0.9328 0.5000 0.2092